# CuNiO
Theoretical powder X-ray diffraction pattern, Cu Kα. Input: a crystal structure in Alexandria, relaxed with GGA+U.
Lines closer than 0.1° are merged.

Most intense lines, 2θ from 10° to 90°, low angle first:
two_theta, intensity, hkl
14.72, 11.8, 0 0 1
31.35, 29.1, 1 0 -1
38.03, 64.8, 0 1 2
39.38, 100.0, 1 1 0
47.47, 37.1, 0 2 0
48.83, 32.9, 1 0 2
49.02, 32.3, 1 0 -3
51.43, 20.5, 0 1 3
63.33, 14.3, 2 0 -1
70.48, 19.6, 1 2 2
70.63, 19.2, 1 2 -3
82.83, 22.5, 2 2 -1

Structural model:
```
data_CuNiO
_space_group_name_H-M_alt 'P 1 21/m 1'
_space_group_IT_number 11
_space_group_name_Hall '-P 2yb'
_cell_length_a 2.937
_cell_length_b 3.830
_cell_length_c 6.189
_cell_angle_alpha 90.00
_cell_angle_beta 103.51
_cell_angle_gamma 90.00
loop_
_atom_site_label
_atom_site_type_symbol
_atom_site_fract_x
_atom_site_fract_y
_atom_site_fract_z
Cu1 Cu 0.096 0.250 0.190
Ni1 Ni 0.301 0.250 0.602
O1 O 0.087 0.750 0.171
```